Starting from a cell relaxed with GGA-PBE, the X-ray diffraction stick pattern of Cd2InSnHg4 was calculated for λ = 1.5418 Å (Cu Kα).

Top 10 peaks for 10° ≤ 2θ ≤ 80°, sorted by position:
d = 3.489 Å, 25.53 deg, I 19
d = 3.037 Å, 29.41 deg, I 100
d = 2.990 Å, 29.89 deg, I 48
d = 2.148 Å, 42.07 deg, I 38
d = 2.131 Å, 42.42 deg, I 75
d = 1.744 Å, 52.46 deg, I 40
d = 1.358 Å, 69.16 deg, I 18
d = 1.354 Å, 69.41 deg, I 17
d = 1.341 Å, 70.17 deg, I 17
d = 1.237 Å, 77.12 deg, I 26

Crystal structure
a = 7.3639 Å, b = 7.3605 Å, c = 6.0749 Å
α = 65.66°, β = 65.60°, γ = 48.73°
Sites, in units of the cell vectors:
Cd (0.0000, 0.0000, 0.0000)
Cd (0.2500, 0.2500, 0.2500)
In (0.5000, 0.5000, 0.5000)
Sn (0.7500, 0.7500, 0.7500)
Hg (0.0009, 0.0009, 0.4991)
Hg (0.2478, 0.2478, 0.7522)
Hg (0.4991, 0.4991, 0.0009)
Hg (0.7522, 0.7522, 0.2478)